For TiCoSi, DFT lattice parameters and positions (PBE) gives the calculated powder diffractogram in this record (Cu Kα X-rays).
Kinematic intensities with the Lorentz-polarization factor, no thermal factor.

Main lines, by angle (2θ from 15° to 90°):
(1 0 1), 19.4 deg, I 316
(2 1 0), 38.1 deg, I 477
(1 1 2), 38.6 deg, I 1000
(2 0 2), 39.3 deg, I 274
(2 1 1), 40.4 deg, I 975
(3 0 1), 46.4 deg, I 429
(0 1 3), 46.5 deg, I 744
(0 2 0), 49.1 deg, I 555
(3 2 1), 69.9 deg, I 309
(3 1 4), 76.8 deg, I 305

Atomic structure:
Cell lengths 6.127, 3.709, 6.895 Å; angles 90.00, 90.00, 90.00 degrees
Space group Pnma (No. 62)
Asymmetric unit:
Ti: 0.016 0.250 0.191 [4 per cell]
Co: 0.146 0.250 0.565 [4 per cell]
Si: 0.227 0.750 0.386 [4 per cell]